[1]
Calculated PXRD pattern
Compound: Dy5Ho8Zr
Radiation: λ = 1.5418 Å (Cu Kα)
Structure: a cell relaxed with PBE
Lines closer than 0.1° are merged.

Atomic structure:
```
Dy5Ho8Zr
1.0
7.540 -4.052 0.000
7.540 4.052 0.000
-4.158 0.000 7.263
Dy Ho Zr
5 8 1
direct
0.000 0.000 0.000 Dy
0.224 0.555 0.026 Dy
0.445 0.776 0.974 Dy
0.596 0.303 0.713 Dy
0.697 0.404 0.287 Dy
0.068 0.561 0.566 Ho
0.091 0.158 0.684 Ho
0.378 0.262 0.277 Ho
0.439 0.932 0.434 Ho
0.553 0.080 0.934 Ho
0.738 0.622 0.723 Ho
0.842 0.909 0.316 Ho
0.920 0.447 0.066 Ho
0.321 0.679 0.500 Zr
```

Top 8 peaks for 10° ≤ 2θ ≤ 90°, sorted by position:
- 2θ = 25.33°, intensity 14
- 2θ = 30.72°, intensity 100
- 2θ = 31.52°, intensity 26
- 2θ = 32.00°, intensity 45
- 2θ = 32.46°, intensity 47
- 2θ = 33.13°, intensity 32
- 2θ = 33.36°, intensity 36
- 2θ = 33.88°, intensity 26

[2]
Calculated PXRD pattern
Compound: Dy2I3
Radiation: λ = 1.5418 Å (Cu Kα)
Structure: a cell relaxed with PBE
Lines closer than 0.1° are merged.

Atomic structure:
```
Dy2I3
1.0
10.192 -2.038 0.000
10.192 2.038 0.000
-4.172 0.000 10.589
Dy I
4 6
direct
0.073 0.073 0.241 Dy
0.426 0.426 0.030 Dy
0.574 0.574 0.970 Dy
0.927 0.927 0.759 Dy
0.076 0.076 0.759 I
0.191 0.191 0.135 I
0.363 0.363 0.548 I
0.637 0.637 0.452 I
0.809 0.809 0.865 I
0.924 0.924 0.241 I
```

Top 8 peaks for 10° ≤ 2θ ≤ 90°, sorted by position:
- 2θ = 18.72°, intensity 19
- 2θ = 26.99°, intensity 32
- 2θ = 29.07°, intensity 100
- 2θ = 32.13°, intensity 17
- 2θ = 38.29°, intensity 20
- 2θ = 38.52°, intensity 16
- 2θ = 40.32°, intensity 19
- 2θ = 44.46°, intensity 18

[3]
Calculated PXRD pattern
Compound: KDyI4
Radiation: λ = 1.5418 Å (Cu Kα)
Structure: a cell relaxed with PBE
Lines closer than 0.1° are merged.

Atomic structure:
```
KDyI4
1.0
7.574 0.000 0.000
0.000 4.527 0.000
-0.511 0.000 8.791
K Dy I
1 1 4
direct
0.000 0.000 0.000 K
0.000 0.500 0.500 Dy
0.230 0.000 0.374 I
0.235 0.500 0.786 I
0.765 0.500 0.214 I
0.770 0.000 0.626 I
```

Top 8 peaks for 10° ≤ 2θ ≤ 90°, sorted by position:
- 2θ = 10.06°, intensity 60
- 2θ = 11.70°, intensity 52
- 2θ = 24.00°, intensity 44
- 2θ = 24.78°, intensity 100
- 2θ = 32.07°, intensity 62
- 2θ = 36.53°, intensity 29
- 2θ = 39.82°, intensity 20
- 2θ = 42.84°, intensity 34

Which formula does entry 3 have?
KDyI4